(1)
The following is a simulated X-ray diffraction stick pattern of LaInCu5. It was derived from a DFT-relaxed cell (PBE, OQMD), using Cu Kα X-rays.

Principal peaks in the range 2θ from 10° to 90°, low angle first:
- 2θ 35.4, rel. 28, hkl 0 0 2
- 2θ 35.5, rel. 28, hkl 4 2 0
- 2θ 37.7, rel. 100, hkl 1 6 1
- 2θ 42.5, rel. 25, hkl 1 4 2
- 2θ 44.0, rel. 36, hkl 5 2 0
- 2θ 44.2, rel. 36, hkl 4 4 1
- 2θ 45.3, rel. 26, hkl 3 2 2
- 2θ 74.9, rel. 20, hkl 0 0 4

```
data_LaInCu5
_space_group_name_H-M_alt 'P n n m'
_space_group_IT_number 58
_cell_length_a 10.6002
_cell_length_b 16.7722
_cell_length_c 5.0694
_cell_angle_alpha 90.00
_cell_angle_beta 90.00
_cell_angle_gamma 90.00
loop_
_space_group_symop_operation_xyz
'x,y,z'
'-x,-y,-z'
'-x,-y,z'
'x,y,-z'
'x+1/2,-y+1/2,-z+1/2'
'-x+1/2,y+1/2,z+1/2'
'-x+1/2,y+1/2,-z+1/2'
'x+1/2,-y+1/2,z+1/2'
loop_
_atom_site_label
_atom_site_type_symbol
_atom_site_fract_x
_atom_site_fract_y
_atom_site_fract_z
La1 La 0.0000 0.0000 0.0000
La2 La 0.0000 0.5000 0.0000
La3 La 0.1159 0.2453 0.5000
In1 In 0.0822 0.8060 0.0000
In2 In 0.1931 0.0533 0.5000
Cu1 Cu 0.0407 0.4148 0.5000
Cu2 Cu 0.0507 0.9029 0.5000
Cu3 Cu 0.0716 0.3308 0.0000
Cu4 Cu 0.1326 0.6591 0.2500
Cu5 Cu 0.1626 0.1526 0.0000
Cu6 Cu 0.1893 0.5341 0.5000
Cu7 Cu 0.1999 0.7836 0.5000
Cu8 Cu 0.2439 0.4078 0.2504
```

=====

(2)
The following is a simulated X-ray diffraction stick pattern of Al4Re11. It was derived from a DFT-relaxed cell (PBE, OQMD), using Cu Kα X-rays.

Principal peaks in the range 2θ from 10° to 90°, low angle first:
- 2θ 13.2, rel. 77, hkl 1 1 0
- 2θ 39.2, rel. 86, hkl 4 1 0
- 2θ 40.4, rel. 31, hkl 3 3 0
- 2θ 40.7, rel. 23, hkl 2 0 2
- 2θ 41.9, rel. 100, hkl 2 1 2
- 2θ 43.3, rel. 64, hkl 4 1 1
- 2θ 44.4, rel. 46, hkl 3 3 1
- 2θ 70.5, rel. 32, hkl 6 0 2

```
data_Al4Re11
_space_group_name_H-M_alt 'P 42/m n m'
_space_group_IT_number 136
_space_group_name_Hall '-P 4n 2n'
_cell_length_a 9.4752
_cell_length_b 9.4752
_cell_length_c 5.0095
_cell_angle_alpha 90.00
_cell_angle_beta 90.00
_cell_angle_gamma 90.00
loop_
_atom_site_label
_atom_site_type_symbol
_atom_site_fract_x
_atom_site_fract_y
_atom_site_fract_z
Al1 Al 0.0391 0.3691 0.0000
Re1 Re 0.0000 0.0000 0.5000
Re2 Re 0.0674 0.2606 0.5000
Re3 Re 0.1051 0.1051 0.0000
Re4 Re 0.1784 0.8216 0.2458
```

=====

(3)
The following is a simulated X-ray diffraction stick pattern of RbErSeO. It was derived from a DFT-relaxed cell (PBE, OQMD), using Cu Kα X-rays.

Principal peaks in the range 2θ from 10° to 90°, low angle first:
- 2θ 10.5, rel. 64, hkl 0 1 0
- 2θ 16.9, rel. 57, hkl 0 1 1
- 2θ 22.3, rel. 100, hkl 1 1 0
- 2θ 24.9, rel. 63, hkl 0 2 1
- 2θ 26.0, rel. 51, hkl 1 1 1
- 2θ 26.6, rel. 79, hkl 0 0 2
- 2θ 31.9, rel. 52, hkl 1 2 1
- 2θ 46.6, rel. 45, hkl 1 3 2

```
data_RbErSeO
_space_group_name_H-M_alt 'P m c 21'
_space_group_IT_number 26
_cell_length_a 4.5171
_cell_length_b 8.4489
_cell_length_c 6.7061
_cell_angle_alpha 90.00
_cell_angle_beta 90.00
_cell_angle_gamma 90.00
loop_
_space_group_symop_operation_xyz
'x,y,z'
'-x,-y,z+1/2'
'-x,y,z'
'x,-y,z+1/2'
loop_
_atom_site_label
_atom_site_type_symbol
_atom_site_fract_x
_atom_site_fract_y
_atom_site_fract_z
Rb1 Rb 0.0000 0.2001 0.0000
Er1 Er 0.5000 0.3835 0.4280
Se1 Se 0.0000 0.2082 0.5061
O1 O 0.5000 0.4223 0.1193
```

=====

(4)
The following is a simulated X-ray diffraction stick pattern of NbPd2. It was derived from a DFT-relaxed cell (PBE, OQMD), using Cu Kα X-rays.

Principal peaks in the range 2θ from 10° to 90°, low angle first:
- 2θ 39.1, rel. 100, hkl 1 1 0
- 2θ 39.3, rel. 99, hkl 0 1 3
- 2θ 45.5, rel. 65, hkl 1 0 3
- 2θ 45.8, rel. 32, hkl 0 2 0
- 2θ 66.5, rel. 51, hkl 1 2 3
- 2θ 79.7, rel. 24, hkl 2 1 3
- 2θ 80.0, rel. 24, hkl 1 1 6
- 2θ 80.3, rel. 24, hkl 1 3 0

```
data_NbPd2
_space_group_name_H-M_alt 'I m m m'
_space_group_IT_number 71
_space_group_name_Hall '-I 2 2'
_cell_length_a 2.8265
_cell_length_b 3.9631
_cell_length_c 8.4312
_cell_angle_alpha 90.00
_cell_angle_beta 90.00
_cell_angle_gamma 90.00
loop_
_atom_site_label
_atom_site_type_symbol
_atom_site_fract_x
_atom_site_fract_y
_atom_site_fract_z
Nb1 Nb 0.0000 0.0000 0.0000
Pd1 Pd 0.0000 0.0000 0.3337
```

=====

(5)
The following is a simulated X-ray diffraction stick pattern of CsLuZnTe3. It was derived from a DFT-relaxed cell (PBE, OQMD), using Cu Kα X-rays.

Principal peaks in the range 2θ from 10° to 90°, low angle first:
- 2θ 10.2, rel. 87, hkl 2 0 0
- 2θ 25.0, rel. 32, hkl 2 0 3
- 2θ 26.6, rel. 100, hkl 3 1 1
- 2θ 29.7, rel. 33, hkl 3 1 2
- 2θ 29.9, rel. 34, hkl 4 1 1
- 2θ 32.2, rel. 29, hkl 2 0 4
- 2θ 36.4, rel. 43, hkl 5 1 2
- 2θ 41.1, rel. 32, hkl 0 2 0

```
data_CsLuZnTe3
_space_group_name_H-M_alt 'P n m a'
_space_group_IT_number 62
_cell_length_a 17.3397
_cell_length_b 4.3958
_cell_length_c 11.7255
_cell_angle_alpha 90.00
_cell_angle_beta 90.00
_cell_angle_gamma 90.00
loop_
_space_group_symop_operation_xyz
'x,y,z'
'-x,-y,-z'
'-x+1/2,-y,z+1/2'
'x+1/2,y,-z+1/2'
'x+1/2,-y+1/2,-z+1/2'
'-x+1/2,y+1/2,z+1/2'
'-x,y+1/2,-z'
'x,-y+1/2,z'
loop_
_atom_site_label
_atom_site_type_symbol
_atom_site_fract_x
_atom_site_fract_y
_atom_site_fract_z
Cs1 Cs 0.2337 0.2500 0.0369
Lu1 Lu 0.0195 0.2500 0.3493
Zn1 Zn 0.0157 0.7500 0.0998
Te1 Te 0.0770 0.7500 0.8814
Te2 Te 0.0908 0.2500 0.5808
Te3 Te 0.1253 0.7500 0.2567
```

=====

(6)
The following is a simulated X-ray diffraction stick pattern of BaZn3In2O7. It was derived from a DFT-relaxed cell (PBE, OQMD), using Cu Kα X-rays.

Principal peaks in the range 2θ from 10° to 90°, low angle first:
- 2θ 28.0, rel. 55, hkl 1 1 0
- 2θ 30.6, rel. 77, hkl 1 0 3
- 2θ 33.0, rel. 100, hkl 1 1 2
- 2θ 33.6, rel. 75, hkl 2 0 1
- 2θ 51.2, rel. 30, hkl 2 1 3
- 2θ 52.8, rel. 27, hkl 3 0 2
- 2θ 55.6, rel. 31, hkl 2 0 5
- 2θ 57.8, rel. 39, hkl 2 2 0

```
data_BaZn3In2O7
_space_group_name_H-M_alt 'P 63 m c'
_space_group_IT_number 186
_space_group_name_Hall 'P 6c -2c'
_cell_length_a 6.3767
_cell_length_b 6.3767
_cell_length_c 10.3209
_cell_angle_alpha 90.00
_cell_angle_beta 90.00
_cell_angle_gamma 120.00
loop_
_atom_site_label
_atom_site_type_symbol
_atom_site_fract_x
_atom_site_fract_y
_atom_site_fract_z
Ba1 Ba 0.3333 0.6667 0.0000
Zn1 Zn 0.1764 0.3529 0.6792
In1 In 0.0000 0.0000 0.4218
In2 In 0.3333 0.6667 0.3624
O1 O 0.0000 0.0000 0.2202
O2 O 0.0066 0.5033 0.2467
O3 O 0.1748 0.3496 0.4890
```

=====

(7)
The following is a simulated X-ray diffraction stick pattern of Zr3TaGa2. It was derived from a DFT-relaxed cell (PBE, OQMD), using Cu Kα X-rays.

Principal peaks in the range 2θ from 10° to 90°, low angle first:
- 2θ 34.5, rel. 100, hkl 1 1 3
- 2θ 34.9, rel. 84, hkl 1 3 1
- 2θ 38.8, rel. 27, hkl 0 4 0
- 2θ 38.9, rel. 32, hkl 2 2 0
- 2θ 43.0, rel. 35, hkl 0 2 4
- 2θ 43.5, rel. 68, hkl 0 4 2
- 2θ 60.6, rel. 19, hkl 3 1 3
- 2θ 66.5, rel. 25, hkl 2 4 4

```
data_Zr3TaGa2
_space_group_name_H-M_alt 'F m m 2'
_space_group_IT_number 42
_space_group_name_Hall 'F 2 -2'
_cell_length_a 5.3358
_cell_length_b 9.2749
_cell_length_c 9.4421
_cell_angle_alpha 90.00
_cell_angle_beta 90.00
_cell_angle_gamma 90.00
loop_
_atom_site_label
_atom_site_type_symbol
_atom_site_fract_x
_atom_site_fract_y
_atom_site_fract_z
Zr1 Zr 0.0000 0.0000 0.0000
Zr2 Zr 0.0000 0.1541 0.6536
Ta1 Ta 0.0000 0.0000 0.3071
Ga1 Ga 0.2500 0.2500 0.4004
```

=====

(8)
The following is a simulated X-ray diffraction stick pattern of Nd2DyMg4In2. It was derived from a DFT-relaxed cell (PBE, OQMD), using Cu Kα X-rays.

Principal peaks in the range 2θ from 10° to 90°, low angle first:
- 2θ 13.3, rel. 59, hkl 0 1 1
- 2θ 29.8, rel. 45, hkl 1 0 2
- 2θ 30.0, rel. 100, hkl 1 3 1
- 2θ 32.8, rel. 91, hkl 1 2 2
- 2θ 33.1, rel. 48, hkl 1 4 0
- 2θ 37.9, rel. 37, hkl 2 0 0
- 2θ 52.9, rel. 23, hkl 1 2 4
- 2θ 63.7, rel. 27, hkl 3 3 1

```
data_Nd2DyMg4In2
_space_group_name_H-M_alt 'A m m 2'
_space_group_IT_number 38
_cell_length_a 4.7458
_cell_length_b 13.1762
_cell_length_c 7.7370
_cell_angle_alpha 90.00
_cell_angle_beta 90.00
_cell_angle_gamma 90.00
loop_
_space_group_symop_operation_xyz
'x,y,z'
'-x,-y,z'
'-x,y,z'
'x,-y,z'
'x,y+1/2,z+1/2'
'-x,-y+1/2,z+1/2'
'-x,y+1/2,z+1/2'
'x,-y+1/2,z+1/2'
loop_
_atom_site_label
_atom_site_type_symbol
_atom_site_fract_x
_atom_site_fract_y
_atom_site_fract_z
Nd1 Nd 0.0000 0.2146 0.0000
Dy1 Dy 0.0000 0.0000 0.3514
Mg1 Mg 0.0000 0.0000 0.7760
Mg2 Mg 0.5000 0.0000 0.0247
Mg3 Mg 0.5000 0.1219 0.6609
In1 In 0.5000 0.1638 0.2857
```

=====

(9)
The following is a simulated X-ray diffraction stick pattern of RbZnBr3. It was derived from a DFT-relaxed cell (PBE, OQMD), using Cu Kα X-rays.

Principal peaks in the range 2θ from 10° to 90°, low angle first:
- 2θ 10.7, rel. 60, hkl 0 0 1
- 2θ 19.4, rel. 41, hkl 1 1 -1
- 2θ 19.7, rel. 33, hkl 1 0 1
- 2θ 21.4, rel. 54, hkl 0 0 2
- 2θ 28.0, rel. 91, hkl 2 1 -1
- 2θ 28.3, rel. 100, hkl 0 2 0
- 2θ 33.2, rel. 65, hkl 1 1 -3
- 2θ 39.5, rel. 37, hkl 3 0 0

```
data_RbZnBr3
_space_group_name_H-M_alt 'P 1 21 1'
_space_group_IT_number 4
_cell_length_a 7.3822
_cell_length_b 6.3095
_cell_length_c 8.9732
_cell_angle_alpha 90.00
_cell_angle_beta 112.25
_cell_angle_gamma 90.00
loop_
_space_group_symop_operation_xyz
'x,y,z'
'-x,y+1/2,-z'
loop_
_atom_site_label
_atom_site_type_symbol
_atom_site_fract_x
_atom_site_fract_y
_atom_site_fract_z
Rb1 Rb 0.0461 0.0000 0.2493
Zn1 Zn 0.4871 0.0804 0.8570
Br1 Br 0.1766 0.9873 0.6563
Br2 Br 0.2109 0.4981 0.1737
Br3 Br 0.4894 0.4824 0.8658
```

=====

(10)
The following is a simulated X-ray diffraction stick pattern of Cu7Ag3. It was derived from a DFT-relaxed cell (PBE, OQMD), using Cu Kα X-rays.

Principal peaks in the range 2θ from 10° to 90°, low angle first:
- 2θ 41.1, rel. 100, hkl 2 1 -1
- 2θ 41.3, rel. 100, hkl 1 1 2
- 2θ 47.9, rel. 64, hkl 0 2 0
- 2θ 48.1, rel. 30, hkl 3 0 1
- 2θ 70.0, rel. 27, hkl 1 2 -3
- 2θ 70.2, rel. 18, hkl 3 2 1
- 2θ 84.4, rel. 10, hkl 3 1 -4
- 2θ 84.7, rel. 32, hkl 1 3 2

```
data_Cu7Ag3
_space_group_name_H-M_alt 'P 1 m 1'
_space_group_IT_number 6
_cell_length_a 5.9977
_cell_length_b 3.7983
_cell_length_c 6.0024
_cell_angle_alpha 90.00
_cell_angle_beta 90.33
_cell_angle_gamma 90.00
loop_
_space_group_symop_operation_xyz
'x,y,z'
'x,-y,z'
loop_
_atom_site_label
_atom_site_type_symbol
_atom_site_fract_x
_atom_site_fract_y
_atom_site_fract_z
Cu1 Cu 0.0000 0.0000 0.0000
Cu2 Cu 0.0870 0.5000 0.7040
Cu3 Cu 0.1787 0.0000 0.3836
Cu4 Cu 0.2778 0.5000 0.0792
Cu5 Cu 0.3667 0.0000 0.7942
Cu6 Cu 0.6952 0.5000 0.8974
Cu7 Cu 0.9089 0.5000 0.2839
Ag1 Ag 0.4712 0.5000 0.4974
Ag2 Ag 0.5897 0.0000 0.1761
Ag3 Ag 0.7983 0.0000 0.6029
```

=====

(11)
The following is a simulated X-ray diffraction stick pattern of CsDy2Cu3Te4S. It was derived from a DFT-relaxed cell (PBE, OQMD), using Cu Kα X-rays.

Principal peaks in the range 2θ from 10° to 90°, low angle first:
- 2θ 26.9, rel. 100, hkl 1 3 0
- 2θ 27.4, rel. 69, hkl 0 2 5
- 2θ 27.4, rel. 94, hkl 1 3 1
- 2θ 28.7, rel. 60, hkl 1 3 2
- 2θ 33.7, rel. 78, hkl 1 3 4
- 2θ 37.0, rel. 67, hkl 0 2 7
- 2θ 42.1, rel. 72, hkl 2 0 0
- 2θ 44.7, rel. 61, hkl 1 3 7

```
data_CsDy2Cu3Te4S
_space_group_name_H-M_alt 'C m c m'
_space_group_IT_number 63
_space_group_name_Hall '-C 2c 2'
_cell_length_a 4.2901
_cell_length_b 15.6219
_cell_length_c 17.9210
_cell_angle_alpha 90.00
_cell_angle_beta 90.00
_cell_angle_gamma 90.00
loop_
_atom_site_label
_atom_site_type_symbol
_atom_site_fract_x
_atom_site_fract_y
_atom_site_fract_z
Cs1 Cs 0.0000 0.0726 0.2500
Dy1 Dy 0.0000 0.1953 0.6015
Cu1 Cu 0.0000 0.3333 0.2500
Cu2 Cu 0.0000 0.4176 0.5235
Te1 Te 0.0000 0.1652 0.0688
Te2 Te 0.0000 0.4428 0.1209
S1 S 0.0000 0.2309 0.7500
```